This entry pairs a crystal structure of DyTeRhO6 with its computed PXRD pattern. Radiation: copper Kα. Structure: a DFT-relaxed cell (GGA-PBE, Alexandria).
Lines closer than 0.1° are merged.

Atomic structure:
a = 5.4745 Å, b = 5.4745 Å, c = 8.5037 Å
α = 90.00°, β = 90.00°, γ = 120.00°
Space group P-31c (No. 163)
Symmetry-distinct sites (fractional):
Dy 0.3333 0.6667 0.2500 (multiplicity 2)
Te 0.3333 0.6667 0.7500 (multiplicity 2)
Rh 0.0000 0.0000 0.0000 (multiplicity 2)
O 0.0391 0.3562 0.6221 (multiplicity 12)

Main lines, sorted by position (10° ≤ 2θ ≤ 80°):
4.252 Å, I 17
3.165 Å, I 100
2.737 Å, I 64
2.302 Å, I 26
2.070 Å, I 30
1.679 Å, I 47
1.651 Å, I 29
1.580 Å, I 22
1.268 Å, I 11
1.256 Å, I 12

---

This entry pairs a crystal structure of DyRu2O8 with its computed PXRD pattern. Radiation: copper Kα. Structure: a DFT-relaxed cell (GGA-PBE, Alexandria).
Lines closer than 0.1° are merged.

Atomic structure:
a = 9.4891 Å, b = 9.4891 Å, c = 9.4891 Å
α = 90.00°, β = 90.00°, γ = 90.00°
Space group Fm-3m (No. 225)
Symmetry-distinct sites (fractional):
Dy 0.0000 0.0000 0.0000 (multiplicity 4)
Ru 0.2500 0.2500 0.2500 (multiplicity 8)
O 0.1427 0.1427 0.1427 (multiplicity 32)

Main lines, sorted by position (10° ≤ 2θ ≤ 80°):
5.479 Å, I 59
3.355 Å, I 100
2.861 Å, I 12
2.372 Å, I 9
2.177 Å, I 22
1.937 Å, I 39
1.677 Å, I 20
1.604 Å, I 10
1.500 Å, I 16
1.268 Å, I 21

---

This entry pairs a crystal structure of Dy2RuO6 with its computed PXRD pattern. Radiation: copper Kα. Structure: a DFT-relaxed cell (GGA-PBE, Alexandria).
Lines closer than 0.1° are merged.

Atomic structure:
a = 5.3998 Å, b = 5.8182 Å, c = 8.8028 Å
α = 90.00°, β = 120.35°, γ = 90.00°
Space group P2_1/c (No. 14)
Symmetry-distinct sites (fractional):
Dy 0.1928 0.0928 0.2363 (multiplicity 4)
Ru 0.5000 0.0000 0.0000 (multiplicity 2)
O 0.1473 0.1697 0.9452 (multiplicity 4)
O 0.2682 0.7252 0.9118 (multiplicity 4)
O 0.4310 0.0690 0.7695 (multiplicity 4)

Main lines, sorted by position (10° ≤ 2θ ≤ 80°):
4.619 Å, I 66
3.941 Å, I 44
3.798 Å, I 40
3.637 Å, I 46
3.375 Å, I 39
2.869 Å, I 100
2.717 Å, I 52
2.679 Å, I 42
2.618 Å, I 90
2.397 Å, I 46

---

Please write out number 3 again, unchanged.
This entry pairs a crystal structure of Dy2RuO6 with its computed PXRD pattern. Radiation: copper Kα. Structure: a DFT-relaxed cell (GGA-PBE, Alexandria).
Lines closer than 0.1° are merged.

Atomic structure:
a = 5.3998 Å, b = 5.8182 Å, c = 8.8028 Å
α = 90.00°, β = 120.35°, γ = 90.00°
Space group P2_1/c (No. 14)
Symmetry-distinct sites (fractional):
Dy 0.1928 0.0928 0.2363 (multiplicity 4)
Ru 0.5000 0.0000 0.0000 (multiplicity 2)
O 0.1473 0.1697 0.9452 (multiplicity 4)
O 0.2682 0.7252 0.9118 (multiplicity 4)
O 0.4310 0.0690 0.7695 (multiplicity 4)

Main lines, sorted by position (10° ≤ 2θ ≤ 80°):
4.619 Å, I 66
3.941 Å, I 44
3.798 Å, I 40
3.637 Å, I 46
3.375 Å, I 39
2.869 Å, I 100
2.717 Å, I 52
2.679 Å, I 42
2.618 Å, I 90
2.397 Å, I 46